Diffraction record for CaSbF5. The powder diffractogram is calculated, not measured: it uses the PBE geometry in the Materials Project and Cu Kα.
Peak positions follow from Bragg's law for the DFT cell and can differ from measured ones.

Most intense lines, 2θ from 10° to 80°, by angle:
Position (°2θ)  intensity  index
16.6  30  0 2 0
17.0  21  1 0 0
18.9  36  1 1 0
22.9  41  1 1 -2
23.9  100  1 2 0
26.1  63  0 1 2
27.1  33  1 2 -2
34.3  19  2 2 -2
38.1  19  1 1 2
45.3  21  1 3 2
45.5  25  2 4 -2
47.6  21  3 2 -2

Atomic structure:
```
CaSbF5
1.0
6.1543 0.0000 0.0000
0.0000 10.6731 0.0000
-4.5046 0.0000 7.1924
Ca Sb F
4 4 20
Direct
0.0172 0.0188 0.2833
0.0172 0.4812 0.7833
0.9828 0.5188 0.2167
0.9828 0.9812 0.7167
0.4296 0.7342 0.6560
0.4296 0.7658 0.1560
0.5704 0.2342 0.8440
0.5704 0.2658 0.3440
0.1440 0.6062 0.0392
0.1440 0.8938 0.5392
0.1713 0.5933 0.6361
0.1713 0.9067 0.1361
0.2212 0.6967 0.3824
0.2212 0.8033 0.8824
0.3489 0.0906 0.8483
0.3489 0.4094 0.3483
0.3602 0.1503 0.4264
0.3602 0.3497 0.9264
0.6398 0.6503 0.0736
0.6398 0.8497 0.5736
0.6511 0.5906 0.6517
0.6511 0.9094 0.1517
0.7788 0.1967 0.1176
0.7788 0.3033 0.6176
0.8287 0.0933 0.8639
0.8287 0.4067 0.3639
0.8560 0.1062 0.4608
0.8560 0.3938 0.9608
```